Record 1
For Cd2Ag7Sn2Hg, DFT lattice parameters and positions (PBE) gives the simulated powder diffraction line list in this record (λ = 1.5418 Å (Cu Kα)).
Peak positions follow from Bragg's law for the DFT cell and can differ from measured ones.

Structural model:
```
data_Cd2Ag7Sn2Hg
_space_group_name_H-M_alt 'P 1'
_space_group_IT_number 1
_space_group_name_Hall 'P 1'
_cell_length_a 4.002
_cell_length_b 4.002
_cell_length_c 16.207
_cell_angle_alpha 96.93
_cell_angle_beta 96.93
_cell_angle_gamma 89.95
loop_
_atom_site_label
_atom_site_type_symbol
_atom_site_fract_x
_atom_site_fract_y
_atom_site_fract_z
Cd1 Cd 0.141 0.141 0.277
Cd2 Cd 0.859 0.859 0.723
Ag1 Ag 0.000 0.000 0.000
Ag2 Ag 0.073 0.574 0.144
Ag3 Ag 0.229 0.229 0.458
Ag4 Ag 0.426 0.927 0.856
Ag5 Ag 0.574 0.073 0.144
Ag6 Ag 0.771 0.771 0.542
Ag7 Ag 0.927 0.426 0.856
Sn1 Sn 0.316 0.316 0.635
Sn2 Sn 0.684 0.684 0.365
Hg1 Hg 0.500 0.500 0.000
```

Most intense lines, 5° ≤ 2θ ≤ 70°, low angle first:
2theta, d/Å, Rel. int.
5.53, 15.970, 854
35.92, 2.500, 1000
38.24, 2.354, 443
38.35, 2.347, 438
39.04, 2.307, 598
45.32, 2.001, 941

Record 2
For SrCdAg2Hg, DFT lattice parameters and positions (PBE) gives the simulated powder diffraction line list in this record (λ = 1.5418 Å (Cu Kα)).
Peak positions follow from Bragg's law for the DFT cell and can differ from measured ones.

Structural model:
```
data_SrCdAg2Hg
_space_group_name_H-M_alt 'P 1'
_space_group_IT_number 1
_space_group_name_Hall 'P 1'
_cell_length_a 4.196
_cell_length_b 4.653
_cell_length_c 13.020
_cell_angle_alpha 90.00
_cell_angle_beta 90.00
_cell_angle_gamma 90.00
loop_
_atom_site_label
_atom_site_type_symbol
_atom_site_fract_x
_atom_site_fract_y
_atom_site_fract_z
Sr1 Sr 0.000 0.000 0.000
Sr2 Sr 0.500 0.500 0.500
Cd1 Cd 0.000 0.500 0.735
Cd2 Cd 0.500 0.000 0.235
Ag1 Ag 0.000 0.000 0.609
Ag2 Ag 0.000 0.500 0.258
Ag3 Ag 0.500 0.000 0.758
Ag4 Ag 0.500 0.500 0.109
Hg1 Hg 0.000 0.000 0.394
Hg2 Hg 0.500 0.500 0.894
```

Most intense lines, 5° ≤ 2θ ≤ 70°, low angle first:
2theta, d/Å, Rel. int.
29.61, 3.017, 313
31.84, 2.811, 1000
38.71, 2.326, 372
39.66, 2.272, 394
40.06, 2.251, 579
43.11, 2.098, 273

Record 3
For Tb2CdAgHg4, DFT lattice parameters and positions (PBE) gives the simulated powder diffraction line list in this record (λ = 1.5418 Å (Cu Kα)).
Peak positions follow from Bragg's law for the DFT cell and can differ from measured ones.

Structural model:
```
data_Tb2CdAgHg4
_space_group_name_H-M_alt 'P 1'
_space_group_IT_number 1
_space_group_name_Hall 'P 1'
_cell_length_a 8.789
_cell_length_b 8.789
_cell_length_c 8.789
_cell_angle_alpha 33.40
_cell_angle_beta 33.40
_cell_angle_gamma 33.40
loop_
_atom_site_label
_atom_site_type_symbol
_atom_site_fract_x
_atom_site_fract_y
_atom_site_fract_z
Tb1 Tb 0.250 0.250 0.250
Tb2 Tb 0.750 0.750 0.750
Cd1 Cd 0.000 0.000 0.000
Ag1 Ag 0.500 0.500 0.500
Hg1 Hg 0.127 0.127 0.127
Hg2 Hg 0.377 0.377 0.377
Hg3 Hg 0.623 0.623 0.623
Hg4 Hg 0.873 0.873 0.873
```

Most intense lines, 5° ≤ 2θ ≤ 70°, low angle first:
2theta, d/Å, Rel. int.
24.89, 3.578, 86
35.42, 2.534, 1000
35.54, 2.526, 995
51.05, 1.789, 355
63.51, 1.465, 182
63.78, 1.459, 546

Record 4
For Ho3Cd2Ag6, DFT lattice parameters and positions (PBE) gives the simulated powder diffraction line list in this record (λ = 1.5418 Å (Cu Kα)).
Peak positions follow from Bragg's law for the DFT cell and can differ from measured ones.

Structural model:
```
data_Ho3Cd2Ag6
_space_group_name_H-M_alt 'P 1'
_space_group_IT_number 1
_space_group_name_Hall 'P 1'
_cell_length_a 16.657
_cell_length_b 16.657
_cell_length_c 16.657
_cell_angle_alpha 166.46
_cell_angle_beta 166.46
_cell_angle_gamma 19.19
loop_
_atom_site_label
_atom_site_type_symbol
_atom_site_fract_x
_atom_site_fract_y
_atom_site_fract_z
Ho1 Ho 0.000 0.000 0.000
Ho2 Ho 0.182 0.182 0.000
Ho3 Ho 0.818 0.818 0.000
Cd1 Cd 0.364 0.364 0.000
Cd2 Cd 0.636 0.636 0.000
Ag1 Ag 0.072 0.572 0.500
Ag2 Ag 0.273 0.273 0.000
Ag3 Ag 0.428 0.928 0.500
Ag4 Ag 0.572 0.072 0.500
Ag5 Ag 0.727 0.727 0.000
Ag6 Ag 0.928 0.428 0.500
```

Most intense lines, 5° ≤ 2θ ≤ 70°, low angle first:
2theta, d/Å, Rel. int.
26.44, 3.371, 426
32.70, 2.738, 632
36.27, 2.477, 794
37.85, 2.377, 1000
46.23, 1.964, 610
61.22, 1.514, 477

Record 5
For Ho2Cd3Ag3, DFT lattice parameters and positions (PBE) gives the simulated powder diffraction line list in this record (λ = 1.5418 Å (Cu Kα)).
Peak positions follow from Bragg's law for the DFT cell and can differ from measured ones.

Structural model:
```
data_Ho2Cd3Ag3
_space_group_name_H-M_alt 'P 1'
_space_group_IT_number 1
_space_group_name_Hall 'P 1'
_cell_length_a 8.563
_cell_length_b 8.563
_cell_length_c 8.563
_cell_angle_alpha 33.74
_cell_angle_beta 33.74
_cell_angle_gamma 33.74
loop_
_atom_site_label
_atom_site_type_symbol
_atom_site_fract_x
_atom_site_fract_y
_atom_site_fract_z
Ho1 Ho 0.000 0.000 0.000
Ho2 Ho 0.494 0.494 0.494
Cd1 Cd 0.248 0.248 0.248
Cd2 Cd 0.746 0.746 0.746
Cd3 Cd 0.872 0.872 0.872
Ag1 Ag 0.124 0.124 0.124
Ag2 Ag 0.371 0.371 0.371
Ag3 Ag 0.622 0.622 0.622
```

Most intense lines, 5° ≤ 2θ ≤ 70°, low angle first:
2theta, d/Å, Rel. int.
21.92, 4.055, 28
36.15, 2.485, 1000
36.29, 2.475, 979
52.16, 1.754, 337
65.07, 1.433, 510
65.39, 1.427, 162

Record 6
For Ho2Cd2Ag, DFT lattice parameters and positions (PBE) gives the simulated powder diffraction line list in this record (λ = 1.5418 Å (Cu Kα)).
Peak positions follow from Bragg's law for the DFT cell and can differ from measured ones.

Structural model:
```
data_Ho2Cd2Ag
_space_group_name_H-M_alt 'P 1'
_space_group_IT_number 1
_space_group_name_Hall 'P 1'
_cell_length_a 8.143
_cell_length_b 8.143
_cell_length_c 8.143
_cell_angle_alpha 134.02
_cell_angle_beta 62.81
_cell_angle_gamma 139.63
loop_
_atom_site_label
_atom_site_type_symbol
_atom_site_fract_x
_atom_site_fract_y
_atom_site_fract_z
Ho1 Ho 0.177 0.181 0.358
Ho2 Ho 0.323 0.681 0.005
Ho3 Ho 0.677 0.319 0.995
Ho4 Ho 0.823 0.819 0.642
Cd1 Cd 0.090 0.645 0.735
Cd2 Cd 0.410 0.145 0.555
Cd3 Cd 0.590 0.855 0.445
Cd4 Cd 0.910 0.355 0.265
Ag1 Ag 0.250 0.250 0.000
Ag2 Ag 0.750 0.750 0.000
```

Most intense lines, 5° ≤ 2θ ≤ 70°, low angle first:
2theta, d/Å, Rel. int.
31.85, 2.809, 310
33.00, 2.714, 672
33.43, 2.680, 1000
35.23, 2.547, 294
57.77, 1.596, 206
64.46, 1.446, 266

Record 7
For Ho4Cd3Ag2, DFT lattice parameters and positions (PBE) gives the simulated powder diffraction line list in this record (λ = 1.5418 Å (Cu Kα)).
Peak positions follow from Bragg's law for the DFT cell and can differ from measured ones.

Structural model:
```
data_Ho4Cd3Ag2
_space_group_name_H-M_alt 'P 1'
_space_group_IT_number 1
_space_group_name_Hall 'P 1'
_cell_length_a 5.097
_cell_length_b 5.097
_cell_length_c 9.762
_cell_angle_alpha 90.00
_cell_angle_beta 90.00
_cell_angle_gamma 120.00
loop_
_atom_site_label
_atom_site_type_symbol
_atom_site_fract_x
_atom_site_fract_y
_atom_site_fract_z
Ho1 Ho 0.000 0.000 0.170
Ho2 Ho 0.000 0.000 0.830
Ho3 Ho 0.333 0.667 0.618
Ho4 Ho 0.667 0.333 0.382
Cd1 Cd 0.000 0.000 0.500
Cd2 Cd 0.333 0.667 0.989
Cd3 Cd 0.667 0.333 0.011
Ag1 Ag 0.333 0.667 0.308
Ag2 Ag 0.667 0.333 0.692
```

Most intense lines, 5° ≤ 2θ ≤ 70°, low angle first:
2theta, d/Å, Rel. int.
34.23, 2.619, 998
35.21, 2.549, 1000
49.93, 1.827, 339
60.66, 1.527, 97
62.56, 1.485, 340
63.19, 1.472, 178

Record 8
For Ho3Cd2Ag7, DFT lattice parameters and positions (PBE) gives the simulated powder diffraction line list in this record (λ = 1.5418 Å (Cu Kα)).
Peak positions follow from Bragg's law for the DFT cell and can differ from measured ones.

Structural model:
```
data_Ho3Cd2Ag7
_space_group_name_H-M_alt 'P 1'
_space_group_IT_number 1
_space_group_name_Hall 'P 1'
_cell_length_a 11.103
_cell_length_b 11.103
_cell_length_c 5.139
_cell_angle_alpha 90.00
_cell_angle_beta 90.00
_cell_angle_gamma 154.67
loop_
_atom_site_label
_atom_site_type_symbol
_atom_site_fract_x
_atom_site_fract_y
_atom_site_fract_z
Ho1 Ho 0.000 0.000 0.000
Ho2 Ho 0.165 0.835 0.000
Ho3 Ho 0.835 0.165 0.000
Cd1 Cd 0.355 0.645 0.500
Cd2 Cd 0.645 0.355 0.500
Ag1 Ag 0.077 0.923 0.500
Ag2 Ag 0.224 0.776 0.500
Ag3 Ag 0.420 0.580 0.000
Ag4 Ag 0.500 0.500 0.500
Ag5 Ag 0.580 0.420 0.000
Ag6 Ag 0.776 0.224 0.500
Ag7 Ag 0.923 0.077 0.500
```

Most intense lines, 5° ≤ 2θ ≤ 70°, low angle first:
2theta, d/Å, Rel. int.
32.70, 2.739, 301
34.92, 2.569, 434
36.93, 2.434, 372
38.67, 2.328, 1000
51.73, 1.767, 275
65.12, 1.432, 205

Record 9
For HoCdAg2, DFT lattice parameters and positions (PBE) gives the simulated powder diffraction line list in this record (λ = 1.5418 Å (Cu Kα)).
Peak positions follow from Bragg's law for the DFT cell and can differ from measured ones.

Structural model:
```
data_HoCdAg2
_space_group_name_H-M_alt 'P 1'
_space_group_IT_number 1
_space_group_name_Hall 'P 1'
_cell_length_a 4.685
_cell_length_b 4.685
_cell_length_c 4.017
_cell_angle_alpha 90.00
_cell_angle_beta 90.00
_cell_angle_gamma 90.00
loop_
_atom_site_label
_atom_site_type_symbol
_atom_site_fract_x
_atom_site_fract_y
_atom_site_fract_z
Ho1 Ho 0.000 0.000 0.000
Cd1 Cd 0.500 0.500 0.000
Ag1 Ag 0.000 0.500 0.500
Ag2 Ag 0.500 0.000 0.500
```

Most intense lines, 5° ≤ 2θ ≤ 70°, low angle first:
2theta, d/Å, Rel. int.
35.11, 2.556, 1000
38.43, 2.343, 389
45.15, 2.008, 122
55.47, 1.656, 130
60.74, 1.525, 195
67.37, 1.390, 284

Record 10
For HoTlCdAg, DFT lattice parameters and positions (PBE) gives the simulated powder diffraction line list in this record (λ = 1.5418 Å (Cu Kα)).
Peak positions follow from Bragg's law for the DFT cell and can differ from measured ones.

Structural model:
```
data_HoTlCdAg
_space_group_name_H-M_alt 'P 1'
_space_group_IT_number 1
_space_group_name_Hall 'P 1'
_cell_length_a 7.173
_cell_length_b 7.173
_cell_length_c 7.173
_cell_angle_alpha 90.00
_cell_angle_beta 90.00
_cell_angle_gamma 90.00
loop_
_atom_site_label
_atom_site_type_symbol
_atom_site_fract_x
_atom_site_fract_y
_atom_site_fract_z
Ho1 Ho 0.000 0.000 0.000
Ho2 Ho 0.000 0.500 0.500
Ho3 Ho 0.500 0.000 0.500
Ho4 Ho 0.500 0.500 0.000
Tl1 Tl 0.250 0.250 0.750
Tl2 Tl 0.250 0.750 0.250
Tl3 Tl 0.750 0.250 0.250
Tl4 Tl 0.750 0.750 0.750
Cd1 Cd 0.000 0.000 0.500
Cd2 Cd 0.000 0.500 0.000
Cd3 Cd 0.500 0.000 0.000
Cd4 Cd 0.500 0.500 0.500
Ag1 Ag 0.250 0.250 0.250
Ag2 Ag 0.250 0.750 0.750
Ag3 Ag 0.750 0.250 0.750
Ag4 Ag 0.750 0.750 0.250
```

Most intense lines, 5° ≤ 2θ ≤ 70°, low angle first:
2theta, d/Å, Rel. int.
21.46, 4.141, 63
35.40, 2.536, 1000
41.77, 2.163, 37
50.92, 1.793, 176
55.87, 1.646, 17
63.54, 1.464, 359

Record 11
For Ho4TlCdAg2, DFT lattice parameters and positions (PBE) gives the simulated powder diffraction line list in this record (λ = 1.5418 Å (Cu Kα)).
Peak positions follow from Bragg's law for the DFT cell and can differ from measured ones.

Structural model:
```
data_Ho4TlCdAg2
_space_group_name_H-M_alt 'P 1'
_space_group_IT_number 1
_space_group_name_Hall 'P 1'
_cell_length_a 9.073
_cell_length_b 9.073
_cell_length_c 9.073
_cell_angle_alpha 33.39
_cell_angle_beta 33.39
_cell_angle_gamma 33.39
loop_
_atom_site_label
_atom_site_type_symbol
_atom_site_fract_x
_atom_site_fract_y
_atom_site_fract_z
Ho1 Ho 0.124 0.124 0.124
Ho2 Ho 0.374 0.374 0.374
Ho3 Ho 0.626 0.626 0.626
Ho4 Ho 0.876 0.876 0.876
Tl1 Tl 0.500 0.500 0.500
Cd1 Cd 0.000 0.000 0.000
Ag1 Ag 0.254 0.254 0.254
Ag2 Ag 0.746 0.746 0.746
```

Most intense lines, 5° ≤ 2θ ≤ 70°, low angle first:
2theta, d/Å, Rel. int.
24.10, 3.693, 21
34.28, 2.616, 1000
34.41, 2.606, 997
49.36, 1.846, 356
61.30, 1.512, 181
61.58, 1.506, 547

Record 12
For CdAgI, DFT lattice parameters and positions (PBE) gives the simulated powder diffraction line list in this record (λ = 1.5418 Å (Cu Kα)).
Peak positions follow from Bragg's law for the DFT cell and can differ from measured ones.

Structural model:
```
data_CdAgI
_space_group_name_H-M_alt 'P 1'
_space_group_IT_number 1
_space_group_name_Hall 'P 1'
_cell_length_a 4.187
_cell_length_b 6.119
_cell_length_c 7.807
_cell_angle_alpha 104.03
_cell_angle_beta 90.00
_cell_angle_gamma 90.11
loop_
_atom_site_label
_atom_site_type_symbol
_atom_site_fract_x
_atom_site_fract_y
_atom_site_fract_z
Cd1 Cd 0.000 0.000 0.000
Cd2 Cd 0.001 0.302 0.371
Ag1 Ag 0.499 0.689 0.877
Ag2 Ag 0.500 0.975 0.228
I1 I 0.501 0.690 0.467
I2 I 0.998 0.340 0.788
```

Most intense lines, 5° ≤ 2θ ≤ 70°, low angle first:
2theta, d/Å, Rel. int.
16.59, 5.343, 422
24.63, 3.614, 346
26.04, 3.422, 1000
35.08, 2.558, 333
37.82, 2.379, 717
40.03, 2.252, 549

Record 13
For TlCdAgI4, DFT lattice parameters and positions (PBE) gives the simulated powder diffraction line list in this record (λ = 1.5418 Å (Cu Kα)).
Peak positions follow from Bragg's law for the DFT cell and can differ from measured ones.

Structural model:
```
data_TlCdAgI4
_space_group_name_H-M_alt 'P 1'
_space_group_IT_number 1
_space_group_name_Hall 'P 1'
_cell_length_a 7.168
_cell_length_b 9.078
_cell_length_c 9.332
_cell_angle_alpha 90.00
_cell_angle_beta 99.52
_cell_angle_gamma 90.00
loop_
_atom_site_label
_atom_site_type_symbol
_atom_site_fract_x
_atom_site_fract_y
_atom_site_fract_z
Tl1 Tl 0.146 0.250 0.044
Tl2 Tl 0.854 0.750 0.956
Cd1 Cd 0.234 0.750 0.320
Cd2 Cd 0.766 0.250 0.680
Ag1 Ag 0.306 0.250 0.690
Ag2 Ag 0.694 0.750 0.310
I1 I 0.038 0.017 0.731
I2 I 0.038 0.483 0.731
I3 I 0.395 0.750 0.055
I4 I 0.480 0.250 0.440
I5 I 0.520 0.750 0.560
I6 I 0.605 0.250 0.945
I7 I 0.962 0.517 0.269
I8 I 0.962 0.983 0.269
```

Most intense lines, 5° ≤ 2θ ≤ 70°, low angle first:
2theta, d/Å, Rel. int.
13.70, 6.463, 584
19.56, 4.539, 757
23.29, 3.819, 739
27.60, 3.232, 674
30.20, 2.960, 821
30.84, 2.899, 1000

Record 14
For Cd12In2Ag, DFT lattice parameters and positions (PBE) gives the simulated powder diffraction line list in this record (λ = 1.5418 Å (Cu Kα)).
Peak positions follow from Bragg's law for the DFT cell and can differ from measured ones.

Structural model:
```
data_Cd12In2Ag
_space_group_name_H-M_alt 'P 1'
_space_group_IT_number 1
_space_group_name_Hall 'P 1'
_cell_length_a 5.991
_cell_length_b 5.991
_cell_length_c 20.752
_cell_angle_alpha 90.00
_cell_angle_beta 90.00
_cell_angle_gamma 90.00
loop_
_atom_site_label
_atom_site_type_symbol
_atom_site_fract_x
_atom_site_fract_y
_atom_site_fract_z
Cd1 Cd 0.001 0.501 0.094
Cd2 Cd 0.001 0.999 0.906
Cd3 Cd 0.075 0.575 0.565
Cd4 Cd 0.075 0.925 0.435
Cd5 Cd 0.250 0.250 0.200
Cd6 Cd 0.250 0.250 0.336
Cd7 Cd 0.250 0.250 0.664
Cd8 Cd 0.250 0.250 0.800
Cd9 Cd 0.425 0.575 0.435
Cd10 Cd 0.425 0.925 0.565
Cd11 Cd 0.499 0.501 0.906
Cd12 Cd 0.499 0.999 0.094
Cd13 Cd 0.501 0.001 0.906
Cd14 Cd 0.501 0.499 0.094
Cd15 Cd 0.575 0.075 0.435
Cd16 Cd 0.575 0.425 0.565
Cd17 Cd 0.750 0.750 0.200
Cd18 Cd 0.750 0.750 0.336
Cd19 Cd 0.750 0.750 0.664
Cd20 Cd 0.750 0.750 0.800
Cd21 Cd 0.925 0.075 0.565
Cd22 Cd 0.925 0.425 0.435
Cd23 Cd 0.999 0.001 0.094
Cd24 Cd 0.999 0.499 0.906
In1 In 0.250 0.750 0.264
In2 In 0.250 0.750 0.736
In3 In 0.750 0.250 0.264
In4 In 0.750 0.250 0.736
Ag1 Ag 0.250 0.750 0.000
Ag2 Ag 0.750 0.250 0.000
```

Most intense lines, 5° ≤ 2θ ≤ 70°, low angle first:
2theta, d/Å, Rel. int.
27.18, 3.281, 351
31.08, 2.878, 1000
34.58, 2.594, 714
37.01, 2.429, 690
39.81, 2.264, 611
42.69, 2.118, 766